This entry pairs a crystal structure of LiV2Si2O8 with its theoretical PXRD pattern. Radiation: Cu Kα, 1.54184 Å. Structure: a structure optimized by DFT (PBE+U).

a b c (Å): 4.8766 10.1107 5.8442
angles (deg): 90.00 90.37 90.00
Sites, in units of the cell vectors:
Li (0.2431, 0.0000, 0.3018)
Li (0.7569, 0.5000, 0.6982)
V (0.2431, 0.7507, 0.9907)
V (0.2568, 0.2836, 0.5100)
V (0.7432, 0.7836, 0.4900)
V (0.7569, 0.2507, 0.0093)
Si (0.1891, 0.6119, 0.4966)
Si (0.3192, 0.4236, 0.0114)
Si (0.6808, 0.9236, 0.9886)
Si (0.8109, 0.1119, 0.5034)
O (0.0104, 0.8995, 0.0039)
O (0.0266, 0.6856, 0.7170)
O (0.0370, 0.6996, 0.2884)
O (0.0827, 0.4597, 0.4953)
O (0.3904, 0.5825, 0.0125)
O (0.4807, 0.1232, 0.4874)
O (0.4817, 0.3411, 0.2166)
O (0.4903, 0.3538, 0.7951)
O (0.5097, 0.8538, 0.2049)
O (0.5183, 0.8411, 0.7834)
O (0.5193, 0.6232, 0.5126)
O (0.6096, 0.0825, 0.9875)
O (0.9173, 0.9597, 0.5047)
O (0.9630, 0.1996, 0.7116)
O (0.9734, 0.1856, 0.2830)
O (0.9896, 0.3995, 0.9961)

Principal peaks in the range 10 to 90 degrees two-theta, sorted by position:
index  two_theta  intensity
0 2 0  17.54  888
1 1 0  20.22  1000
0 2 1  23.27  455
1 1 -1  25.30  708
1 1 1  25.44  700
0 0 2  30.59  862
1 3 -1  35.80  627
1 3 1  35.90  760
1 4 0  40.21  347
0 0 4  63.73  531